Diffraction record for LiLuZnFeO4. The powder diffraction line list is simulated, not measured: it uses the GGA+U geometry in Alexandria and Cu Kα, 1.54184 Å.
Neutral-atom scattering factors, no anomalous dispersion.

Structural model:
```
LiLuZnFeO4
1.0
1.646 0.950 10.429
-1.646 0.950 10.429
0.000 -1.901 10.429
Li Lu Zn Fe O
1 1 1 1 4
Cartesian
0.000 0.000 0.000 Li
0.000 0.000 15.699 Lu
0.000 0.000 8.361 Zn
0.000 0.000 22.995 Fe
0.000 0.000 6.365 O
0.000 0.000 11.739 O
0.000 0.000 19.526 O
0.000 0.000 25.005 O
```

Principal peaks in the range 5 to 70 degrees two-theta, in order of rising 2θ:
d/Å	2theta	Rel. int.
10.429	8.48	1000
3.476	25.63	407
2.839	31.51	344
2.679	33.45	590
2.594	34.57	213
2.304	39.10	384
1.839	49.57	216
1.646	55.85	231
1.546	59.81	164
1.488	62.41	220